# 1
Computed powder XRD pattern of DyTa2O4 for Cu Kα, 1.54184 Å, from a crystal structure in OQMD, relaxed with GGA-PBE.
No peak broadening, texture or thermal motion is included.

a = 9.047 Å, b = 9.047 Å, c = 9.047 Å
α = 90.00°, β = 90.00°, γ = 90.00°
Space group Fd-3m (No. 227, origin choice 2)
Inequivalent atoms, fractional coordinates:
Dy: 0.125 0.125 0.125
Ta: 0.000 0.000 0.500
O: 0.009 0.009 0.741

Principal peaks in the range 2θ = 10–90°, low angle first:
h k l	2θ (°)	d_spacing	I (rel.)
1 1 1	16.97	5.224	100
2 2 0	27.89	3.199	236
3 1 1	32.83	2.728	1000
2 2 2	34.34	2.612	298
4 0 0	39.86	2.262	119
5 1 1	52.56	1.741	375
4 4 0	57.63	1.599	391
5 3 3	67.94	1.380	125
6 2 2	68.83	1.364	140
5 5 3	81.76	1.178	222

---

# 2
Computed powder XRD pattern of DyTa7O19 for Cu Kα, 1.54184 Å, from a crystal structure in OQMD, relaxed with GGA-PBE.
No peak broadening, texture or thermal motion is included.

a = 6.2088 Å, b = 6.2088 Å, c = 19.8674 Å
α = 90.00°, β = 90.00°, γ = 120.00°
Space group P-6c2 (No. 188)
Inequivalent atoms, fractional coordinates:
Dy: 0.0000 0.0000 0.0000
Ta: 0.0275 0.3324 0.1553
Ta: 0.3333 0.6667 0.0000
O: 0.0000 0.0000 0.1284
O: 0.0442 0.2846 0.2500
O: 0.0907 0.3773 0.0551
O: 0.3333 0.6667 0.1673
O: 0.4189 0.0853 0.6533

Principal peaks in the range 2θ = 10–90°, low angle first:
h k l	2θ (°)	d_spacing	I (rel.)
1 0 0	16.49	5.377	335
0 0 4	17.86	4.967	243
0 0 6	26.93	3.311	658
1 1 1	29.11	3.067	1000
1 1 2	30.16	2.963	433
1 1 4	34.06	2.633	528
1 1 5	36.74	2.446	511
3 0 0	50.95	1.792	405
1 1 10	54.86	1.673	244
3 0 6	58.56	1.576	398

---

# 3
Computed powder XRD pattern of TbDyTeO2 for Cu Kα, 1.54184 Å, from a crystal structure in OQMD, relaxed with GGA-PBE.
No peak broadening, texture or thermal motion is included.

a = 3.920 Å, b = 3.920 Å, c = 12.454 Å
α = 90.00°, β = 90.00°, γ = 90.00°
Space group I4mm (No. 107)
Inequivalent atoms, fractional coordinates:
Tb: 0.000 0.000 0.000
Dy: 0.000 0.000 0.676
Te: 0.000 0.000 0.338
O: 0.000 0.500 0.089

Principal peaks in the range 2θ = 10–90°, low angle first:
h k l	2θ (°)	d_spacing	I (rel.)
1 0 3	31.39	2.850	1000
1 1 0	32.30	2.772	397
0 0 6	43.61	2.076	86
2 0 0	46.33	1.960	196
1 1 6	55.29	1.661	224
2 1 3	57.03	1.615	367
2 0 6	65.50	1.425	105
1 0 9	72.43	1.305	86
3 0 3	76.43	1.246	79
3 1 0	76.92	1.239	69

---

# 4
Computed powder XRD pattern of DyTc2O8 for Cu Kα, 1.54184 Å, from a crystal structure in OQMD, relaxed with GGA-PBE.
No peak broadening, texture or thermal motion is included.

a = 9.409 Å, b = 9.409 Å, c = 9.409 Å
α = 90.00°, β = 90.00°, γ = 90.00°
Space group Fm-3m (No. 225)
Inequivalent atoms, fractional coordinates:
Dy: 0.000 0.000 0.000
Tc: 0.250 0.250 0.250
O: 0.143 0.143 0.143

Principal peaks in the range 2θ = 10–90°, low angle first:
h k l	2θ (°)	d_spacing	I (rel.)
1 1 1	16.32	5.432	609
2 2 0	26.80	3.326	1000
3 1 1	31.54	2.837	120
3 3 1	41.85	2.159	222
4 2 2	47.33	1.921	391
4 4 0	55.23	1.663	198
5 3 1	57.99	1.590	103
6 2 0	62.43	1.488	161
6 4 2	75.64	1.257	210
6 6 0	88.10	1.109	110